For Pr2H3Pd12Pt, the PBE geometry in Alexandria gives the computed PXRD pattern in this record (Cu Kα, 1.54184 Å).

Top 10 peaks for 2θ from 5° to 70°, in order of rising 2θ:
2θ 28.5, I 16
2θ 34.5, I 21
2θ 37.1, I 37
2θ 37.6, I 100
2θ 39.1, I 76
2θ 42.8, I 12
2θ 45.7, I 27
2θ 50.2, I 25
2θ 58.1, I 18
2θ 58.5, I 13

Cell and atoms:
```
18
Lattice="3.636 2.099 6.125 -3.636 2.099 6.125 0.000 -4.199 6.125" Properties=species:S:1:pos:R:3 pbc="T T T"
Pr 0.000 0.000 1.760
Pr 0.000 0.000 16.615
H -1.818 -1.050 6.125
H -1.818 1.050 12.250
H 0.000 2.099 6.125
Pd -2.179 -1.258 8.221
Pd 0.000 -1.591 6.483
Pd -1.378 0.795 6.483
Pd 0.000 -2.516 10.154
Pd -2.179 1.258 10.154
Pd -1.378 -0.795 11.892
Pd 1.378 0.795 6.483
Pd 2.179 -1.258 8.221
Pd 0.000 2.516 8.221
Pd 1.378 -0.795 11.892
Pd 0.000 1.591 11.892
Pd 2.179 1.258 10.154
Pt 0.000 0.000 9.187
```

For CsNaTl4Au2, the PBE geometry in Alexandria gives the computed PXRD pattern in this record (Cu Kα, 1.54184 Å).

Top 10 peaks for 2θ from 5° to 70°, in order of rising 2θ:
2θ 6.8, I 27
2θ 13.6, I 42
2θ 20.4, I 46
2θ 30.7, I 100
2θ 39.1, I 87
2θ 41.6, I 20
2θ 44.5, I 22
2θ 56.5, I 20
2θ 58.4, I 17
2θ 65.7, I 23

Cell and atoms:
```
8
Lattice="4.606 0.000 0.000 0.000 4.606 0.000 0.000 0.000 13.038" Properties=species:S:1:pos:R:3 pbc="T T T"
Cs 0.000 0.000 0.000
Na 0.000 0.000 6.519
Tl 0.000 2.303 3.263
Tl 0.000 2.303 9.775
Tl 2.303 0.000 3.263
Tl 2.303 0.000 9.775
Au 2.303 2.303 5.185
Au 2.303 2.303 7.853
```

For Li2Hg2O3, the PBE geometry in Alexandria gives the computed PXRD pattern in this record (Cu Kα, 1.54184 Å).

Top 10 peaks for 2θ from 5° to 70°, in order of rising 2θ:
2θ 23.4, I 100
2θ 26.0, I 28
2θ 32.3, I 19
2θ 34.2, I 18
2θ 35.2, I 74
2θ 41.9, I 27
2θ 43.4, I 19
2θ 55.2, I 18
2θ 59.1, I 16
2θ 59.5, I 18

Cell and atoms:
```
14
Lattice="3.427 -5.246 0.000 3.427 5.246 0.000 0.000 0.000 5.539" Properties=species:S:1:pos:R:3 pbc="T T T"
Li 3.427 3.653 4.457
Li 3.427 1.593 1.688
Li 3.427 -1.593 3.850
Li 3.427 -3.653 1.081
Hg 1.713 1.189 4.154
Hg 1.713 -1.189 1.385
Hg 5.140 1.189 4.154
Hg 5.140 -1.189 1.385
O 0.000 0.000 0.000
O 3.427 3.384 2.556
O 3.427 1.862 5.325
O 3.427 0.000 2.769
O 3.427 -1.862 0.213
O 3.427 -3.384 2.983
```

For Sm2Th2Sb5, the PBE geometry in Alexandria gives the computed PXRD pattern in this record (Cu Kα, 1.54184 Å).

Top 10 peaks for 2θ from 5° to 70°, in order of rising 2θ:
2θ 24.1, I 28
2θ 26.4, I 24
2θ 29.3, I 63
2θ 30.3, I 41
2θ 32.0, I 42
2θ 33.0, I 50
2θ 33.9, I 29
2θ 34.5, I 100
2θ 44.7, I 53
2θ 62.5, I 29

Cell and atoms:
```
18
Lattice="7.930 -4.165 0.000 7.930 4.165 0.000 0.000 0.000 8.357" Properties=species:S:1:pos:R:3 pbc="T T T"
Sm 7.930 2.887 7.055
Sm 7.930 1.277 2.876
Sm 7.930 -1.277 5.480
Sm 7.930 -2.887 1.302
Th 3.063 0.000 4.178
Th 4.867 0.000 0.000
Th 10.993 0.000 0.000
Th 12.797 0.000 4.178
Sb 0.000 0.000 4.178
Sb 5.715 2.884 1.270
Sb 5.715 1.281 5.448
Sb 10.144 2.884 1.270
Sb 10.144 1.281 5.448
Sb 7.930 0.000 0.000
Sb 5.715 -1.281 2.909
Sb 5.715 -2.884 7.087
Sb 10.144 -1.281 2.909
Sb 10.144 -2.884 7.087
```

For Ho6Tl5Bi, the PBE geometry in Alexandria gives the computed PXRD pattern in this record (Cu Kα, 1.54184 Å).

Top 10 peaks for 2θ from 5° to 70°, in order of rising 2θ:
2θ 24.9, I 1
2θ 32.7, I 100
2θ 35.5, I 20
2θ 35.6, I 20
2θ 42.3, I 12
2θ 51.1, I 14
2θ 56.4, I 22
2θ 61.9, I 16
2θ 62.1, I 16
2θ 68.4, I 12

Cell and atoms:
```
12
Lattice="2.522 -7.595 0.000 2.522 7.595 0.000 0.000 0.000 8.556" Properties=species:S:1:pos:R:3 pbc="T T T"
Ho 0.000 0.000 2.113
Ho 0.000 0.000 6.443
Ho 2.522 2.536 2.108
Ho 2.522 2.536 6.448
Ho 2.522 -2.536 2.108
Ho 2.522 -2.536 6.448
Tl 2.522 5.064 0.000
Tl 2.522 4.978 4.278
Tl 2.522 0.000 0.000
Tl 2.522 -4.978 4.278
Tl 2.522 -5.064 0.000
Bi 2.522 0.000 4.278
```

For Pa3Ni2Ir, the PBE geometry in Alexandria gives the computed PXRD pattern in this record (Cu Kα, 1.54184 Å).

Top 10 peaks for 2θ from 5° to 70°, in order of rising 2θ:
2θ 31.7, I 22
2θ 31.9, I 22
2θ 32.5, I 60
2θ 34.1, I 29
2θ 35.0, I 100
2θ 36.5, I 18
2θ 41.0, I 52
2θ 50.1, I 23
2θ 55.2, I 23
2θ 61.0, I 27

Cell and atoms:
```
12
Lattice="3.641 0.000 0.000 0.000 8.958 0.000 0.000 0.000 7.211" Properties=species:S:1:pos:R:3 pbc="T T T"
Pa 0.000 0.807 0.000
Pa 0.000 8.151 3.605
Pa 1.820 2.142 2.252
Pa 1.820 3.410 5.885
Pa 1.820 5.548 2.279
Pa 1.820 6.816 5.857
Ni 0.000 2.143 4.240
Ni 0.000 6.815 0.635
Ni 1.820 0.602 5.108
Ni 1.820 8.356 1.503
Ir 0.000 4.157 0.514
Ir 0.000 4.801 4.119
```